# 1
Calculated powder XRD pattern of UPaAl6 for Cu Kα (weighted mean of Kα1 and Kα2), from DFT lattice parameters and positions (GGA-PBE).

The 10 most intense peaks (2θ = 10–90°), low angle first:
| two_theta | Rel. int. |
| --- | --- |
| 16.43 | 33 |
| 25.40 | 100 |
| 28.65 | 48 |
| 33.21 | 19 |
| 38.66 | 75 |
| 39.04 | 17 |
| 48.82 | 30 |
| 49.14 | 23 |
| 65.58 | 17 |
| 73.34 | 15 |

Structural model:
```
8
Lattice="6.2306 0.0000 0.0000 -3.1153 5.3958 0.0000 0.0000 0.0000 4.6141" Properties=species:S:1:pos:R:3 pbc="T T T"
U 0.0000 0.0000 0.0000
Pa 0.0000 3.5972 2.3071
Al 1.7081 0.9862 2.3071
Al 3.1153 0.1891 0.0000
Al 1.7214 2.6033 0.0000
Al 4.5225 0.9862 2.3071
Al 3.1153 3.4235 2.3071
Al 4.5091 2.6033 0.0000
```

# 2
Calculated powder XRD pattern of CePm3Au2C for Cu Kα (weighted mean of Kα1 and Kα2), from DFT lattice parameters and positions (GGA-PBE).

The 10 most intense peaks (2θ = 10–90°), low angle first:
| two_theta | Rel. int. |
| --- | --- |
| 25.60 | 29 |
| 28.26 | 59 |
| 34.73 | 15 |
| 35.16 | 100 |
| 35.61 | 35 |
| 35.83 | 15 |
| 37.42 | 30 |
| 52.61 | 23 |
| 63.66 | 15 |
| 66.05 | 16 |

Structural model:
```
7
Lattice="-2.4033 2.5212 7.5176 2.4033 -2.5212 7.5176 2.4033 2.5212 -7.5176" Properties=species:S:1:pos:R:3 pbc="T T T"
Ce 0.0000 0.0000 0.0000
Pm 2.4033 0.0000 2.6372
Pm 0.0000 0.0000 7.5176
Pm 0.0000 2.5212 4.8805
Au 2.4033 0.0000 5.5616
Au 0.0000 2.5212 1.9560
C 2.4033 0.0000 0.0000
```

# 3
Calculated powder XRD pattern of HgBi4Pb8 for Cu Kα (weighted mean of Kα1 and Kα2), from DFT lattice parameters and positions (GGA-PBE).

The 10 most intense peaks (2θ = 10–90°), low angle first:
| two_theta | Rel. int. |
| --- | --- |
| 25.98 | 17 |
| 30.27 | 18 |
| 31.25 | 100 |
| 31.59 | 94 |
| 34.59 | 31 |
| 35.47 | 26 |
| 39.12 | 35 |
| 53.19 | 19 |
| 55.79 | 16 |
| 66.00 | 17 |

Structural model:
```
13
Lattice="5.1876 0.0000 0.0000 0.0000 4.6054 0.0000 -2.2920 0.0000 17.7144" Properties=species:S:1:pos:R:3 pbc="T T T"
Hg 0.0000 0.0000 0.0000
Bi 0.5992 0.0000 10.1604
Bi 3.0359 2.3027 4.9172
Bi 2.4638 0.0000 12.9598
Bi 4.8831 2.3027 2.1677
Pb 0.0585 2.3027 7.5385
Pb 0.4593 0.0000 4.7584
Pb -0.0281 2.3027 12.9851
Pb 0.3051 0.0000 15.7069
Pb 2.4746 0.0000 2.0062
Pb 2.6466 0.0000 7.4710
Pb 3.1118 2.3027 10.2548
Pb 2.8181 2.3027 15.5045
```

# 4
Calculated powder XRD pattern of Pm4TePbS2 for Cu Kα (weighted mean of Kα1 and Kα2), from DFT lattice parameters and positions (GGA-PBE).

The 10 most intense peaks (2θ = 10–90°), low angle first:
| two_theta | Rel. int. |
| --- | --- |
| 24.88 | 16 |
| 29.49 | 51 |
| 29.64 | 100 |
| 32.38 | 19 |
| 41.31 | 17 |
| 41.94 | 34 |
| 42.66 | 39 |
| 43.49 | 19 |
| 53.42 | 20 |
| 61.50 | 18 |

Structural model:
```
8
Lattice="7.3884 0.0000 0.0000 0.0000 4.1615 0.0000 -2.3830 0.0000 7.1708" Properties=species:S:1:pos:R:3 pbc="T T T"
Pm 1.2223 0.0000 1.5399
Pm 0.0692 2.0808 5.6249
Pm 4.9362 2.0808 1.5459
Pm 3.7831 0.0000 5.6310
Te 2.5027 2.0808 3.5854
Pb -1.1915 0.0000 3.5854
S 0.0000 2.0808 0.0000
S 3.6942 0.0000 0.0000
```

# 5
Calculated powder XRD pattern of Mg5ZnPb for Cu Kα (weighted mean of Kα1 and Kα2), from DFT lattice parameters and positions (GGA-PBE).

The 10 most intense peaks (2θ = 10–90°), low angle first:
| two_theta | Rel. int. |
| --- | --- |
| 14.94 | 81 |
| 20.59 | 82 |
| 21.76 | 64 |
| 23.44 | 92 |
| 24.59 | 100 |
| 28.86 | 59 |
| 30.13 | 73 |
| 37.06 | 64 |
| 39.20 | 57 |
| 39.34 | 54 |

Structural model:
```
14
Lattice="4.3254 -4.0834 0.0000 4.3254 4.0834 0.0000 -0.6705 0.0000 9.4873" Properties=species:S:1:pos:R:3 pbc="T T T"
Mg 1.0379 1.4479 7.4323
Mg 3.8225 2.4762 7.1155
Mg 2.7005 0.7718 4.6898
Mg 1.3732 -1.4479 2.6886
Mg 2.3653 -0.7718 9.4334
Mg 5.6151 0.7718 0.0539
Mg 6.6071 1.4479 6.7987
Mg 5.2798 -0.7718 4.7976
Mg 4.1578 -2.4762 2.3718
Mg 6.9424 -1.4479 2.0551
Zn 4.1578 0.2300 2.3718
Zn 3.8225 -0.2300 7.1155
Pb 0.0000 0.0000 0.0000
Pb -0.3353 0.0000 4.7437
```

# 6
Calculated powder XRD pattern of NaDyBr for Cu Kα (weighted mean of Kα1 and Kα2), from DFT lattice parameters and positions (GGA-PBE).

The 10 most intense peaks (2θ = 10–90°), low angle first:
| two_theta | Rel. int. |
| --- | --- |
| 27.59 | 43 |
| 27.82 | 38 |
| 31.10 | 70 |
| 32.13 | 82 |
| 34.48 | 100 |
| 35.78 | 31 |
| 37.12 | 30 |
| 45.08 | 24 |
| 48.64 | 33 |
| 62.70 | 26 |

Structural model:
```
6
Lattice="3.2426 -1.8713 0.0000 3.2426 1.8713 0.0000 -2.2005 0.0000 14.5319" Properties=species:S:1:pos:R:3 pbc="T T T"
Na 1.0627 0.0000 1.4580
Na 3.2219 0.0000 13.0739
Dy 1.0612 0.0000 5.8889
Dy 3.2234 0.0000 8.6430
Br 1.0631 0.0000 10.8190
Br 3.2215 0.0000 3.7129
```

# 7
Calculated powder XRD pattern of Ac2DyCd5 for Cu Kα (weighted mean of Kα1 and Kα2), from DFT lattice parameters and positions (GGA-PBE).

The 10 most intense peaks (2θ = 10–90°), low angle first:
| two_theta | Rel. int. |
| --- | --- |
| 26.06 | 10 |
| 32.70 | 100 |
| 33.43 | 53 |
| 45.83 | 7 |
| 48.00 | 19 |
| 57.90 | 13 |
| 59.30 | 36 |
| 68.54 | 8 |
| 79.65 | 8 |
| 80.06 | 9 |

Structural model:
```
8
Lattice="-2.6802 2.6802 7.9203 2.6802 -2.6802 7.9203 2.6802 2.6802 -7.9203" Properties=species:S:1:pos:R:3 pbc="T T T"
Ac 0.0000 0.0000 3.7711
Ac 0.0000 0.0000 12.0695
Dy 0.0000 0.0000 7.9203
Cd 0.0000 0.0000 0.0000
Cd 2.6802 0.0000 1.6819
Cd 2.6802 0.0000 6.2384
Cd 0.0000 2.6802 1.6819
Cd 0.0000 2.6802 6.2384
```

# 8
Calculated powder XRD pattern of Ag2P3O9 for Cu Kα (weighted mean of Kα1 and Kα2), from DFT lattice parameters and positions (GGA-PBE).

The 10 most intense peaks (2θ = 10–90°), low angle first:
| two_theta | Rel. int. |
| --- | --- |
| 15.21 | 21 |
| 23.64 | 91 |
| 26.50 | 21 |
| 28.03 | 19 |
| 32.22 | 100 |
| 40.99 | 19 |
| 45.63 | 28 |
| 46.78 | 28 |
| 50.52 | 15 |
| 57.94 | 18 |

Structural model:
```
28
Lattice="6.7265 0.0000 0.0000 -3.3632 5.8253 0.0000 0.0000 0.0000 9.8605" Properties=species:S:1:pos:R:3 pbc="T T T"
Ag 0.0000 3.8835 0.0000
Ag 0.0000 3.8835 4.9302
Ag 3.3632 1.9418 0.0000
Ag 3.3632 1.9418 4.9302
P -0.8623 1.4935 2.4651
P -2.5009 4.3317 7.3954
P 1.7246 0.0000 2.4651
P 0.8623 1.4935 7.3954
P 5.0019 0.0000 7.3954
P 2.5009 4.3317 2.4651
O -0.7296 1.2637 7.3954
O -1.2477 2.1611 1.1671
O -1.2477 2.1611 3.7631
O -2.1155 3.6642 6.0974
O -2.1155 3.6642 8.6934
O -2.6336 4.5616 2.4651
O 1.4592 0.0000 7.3954
O 0.7296 1.2637 2.4651
O 2.4954 0.0000 1.1671
O 2.4954 0.0000 3.7631
O 1.2477 2.1611 6.0974
O 1.2477 2.1611 8.6934
O 4.2311 0.0000 6.0974
O 4.2311 0.0000 8.6934
O 2.1155 3.6642 1.1671
O 2.1155 3.6642 3.7631
O 5.2673 0.0000 2.4651
O 2.6336 4.5616 7.3954
```

# 9
Calculated powder XRD pattern of BaCaTlCd for Cu Kα (weighted mean of Kα1 and Kα2), from DFT lattice parameters and positions (GGA-PBE).

The 10 most intense peaks (2θ = 10–90°), low angle first:
| two_theta | Rel. int. |
| --- | --- |
| 18.81 | 14 |
| 21.75 | 10 |
| 30.95 | 100 |
| 36.46 | 8 |
| 44.33 | 18 |
| 49.90 | 5 |
| 55.05 | 39 |
| 64.50 | 12 |
| 73.25 | 16 |
| 89.80 | 20 |

Structural model:
```
4
Lattice="0.0000 4.0864 4.0864 4.0864 0.0000 4.0864 4.0864 4.0864 0.0000" Properties=species:S:1:pos:R:3 pbc="T T T"
Ba 0.0000 0.0000 0.0000
Ca 4.0864 4.0864 4.0864
Tl 2.0432 2.0432 2.0432
Cd 6.1296 6.1296 6.1296
```

# 10
Calculated powder XRD pattern of SmDy5Hg6 for Cu Kα (weighted mean of Kα1 and Kα2), from DFT lattice parameters and positions (GGA-PBE).

The 10 most intense peaks (2θ = 10–90°), low angle first:
| two_theta | Rel. int. |
| --- | --- |
| 33.92 | 100 |
| 34.08 | 20 |
| 48.59 | 7 |
| 48.74 | 7 |
| 48.96 | 7 |
| 60.63 | 23 |
| 60.80 | 15 |
| 60.97 | 8 |
| 71.44 | 7 |
| 81.22 | 7 |

Structural model:
```
12
Lattice="5.2621 0.0000 0.0000 0.0000 7.4944 0.0000 -2.5972 0.0000 7.9271" Properties=species:S:1:pos:R:3 pbc="T T T"
Sm 0.0000 0.0000 0.0000
Dy 0.0000 3.7472 0.0000
Dy 0.0236 0.0000 5.2723
Dy 0.0242 3.7472 5.3070
Dy 2.6407 3.7472 2.6201
Dy 2.6413 0.0000 2.6548
Hg 0.0093 1.9029 2.6772
Hg 0.0093 5.5915 2.6772
Hg 2.6310 1.9081 0.0000
Hg 2.6310 5.5863 0.0000
Hg 2.6556 1.9029 5.2499
Hg 2.6556 5.5915 5.2499
```

# 11
Calculated powder XRD pattern of DyYSi4 for Cu Kα (weighted mean of Kα1 and Kα2), from DFT lattice parameters and positions (GGA-PBE).

The 10 most intense peaks (2θ = 10–90°), low angle first:
| two_theta | Rel. int. |
| --- | --- |
| 12.17 | 25 |
| 21.19 | 26 |
| 22.04 | 85 |
| 24.55 | 41 |
| 28.12 | 35 |
| 30.81 | 45 |
| 31.39 | 90 |
| 33.27 | 69 |
| 36.06 | 100 |
| 45.08 | 57 |

Structural model:
```
24
Lattice="8.4113 0.0000 0.0000 0.0000 14.5031 0.0000 0.0000 0.0000 4.0214" Properties=species:S:1:pos:R:3 pbc="T T T"
Dy 0.8047 1.8914 0.0000
Dy 3.4010 9.1430 0.0000
Dy 5.0104 5.3601 0.0000
Dy 7.6066 12.6117 0.0000
Y 1.1503 6.0112 0.0000
Y 3.0554 13.2628 0.0000
Y 5.3560 1.2404 0.0000
Y 7.2610 8.4919 0.0000
Si 0.3564 4.1143 2.0107
Si 1.0897 14.0772 2.0107
Si 1.1683 8.3673 2.0107
Si 1.5137 11.7387 2.0107
Si 2.6920 4.4871 2.0107
Si 3.0373 1.1157 2.0107
Si 3.1160 6.8257 2.0107
Si 3.8493 11.3659 2.0107
Si 4.5620 3.1372 2.0107
Si 5.2953 7.6775 2.0107
Si 5.3740 13.3874 2.0107
Si 5.7194 10.0160 2.0107
Si 6.8976 2.7645 2.0107
Si 7.2430 6.1358 2.0107
Si 7.3217 0.4259 2.0107
Si 8.0550 10.3888 2.0107
```

# 12
Calculated powder XRD pattern of CaTaHg4 for Cu Kα (weighted mean of Kα1 and Kα2), from DFT lattice parameters and positions (GGA-PBE).

The 10 most intense peaks (2θ = 10–90°), low angle first:
| two_theta | Rel. int. |
| --- | --- |
| 18.65 | 36 |
| 30.68 | 12 |
| 36.14 | 100 |
| 37.81 | 61 |
| 43.94 | 16 |
| 48.12 | 10 |
| 58.16 | 34 |
| 63.89 | 32 |
| 75.66 | 12 |
| 76.69 | 24 |

Structural model:
```
6
Lattice="0.0000 4.1213 4.1213 4.1213 0.0000 4.1213 4.1213 4.1213 0.0000" Properties=species:S:1:pos:R:3 pbc="T T T"
Ca 0.0000 0.0000 0.0000
Ta 2.0606 2.0606 2.0606
Hg 5.1486 3.0939 3.0939
Hg 3.0939 5.1486 3.0939
Hg 3.0939 3.0939 5.1486
Hg 5.1486 5.1486 5.1486
```

# 13
Calculated powder XRD pattern of CaSeO3 for Cu Kα (weighted mean of Kα1 and Kα2), from DFT lattice parameters and positions (GGA-PBE).

The 10 most intense peaks (2θ = 10–90°), low angle first:
| two_theta | Rel. int. |
| --- | --- |
| 21.30 | 30 |
| 25.19 | 20 |
| 28.05 | 75 |
| 29.59 | 100 |
| 29.95 | 59 |
| 30.25 | 37 |
| 36.62 | 38 |
| 45.94 | 25 |
| 48.57 | 32 |
| 50.61 | 19 |

Structural model:
```
20
Lattice="6.5490 0.0000 0.0000 0.0000 6.8594 0.0000 -4.9295 0.0000 6.6253" Properties=species:S:1:pos:R:3 pbc="T T T"
Ca -0.8739 0.8437 2.5121
Ca -3.3386 2.5860 5.8247
Ca 4.9582 4.2734 0.8005
Ca 2.4934 6.0157 4.1132
Se -0.6248 4.5133 3.9219
Se 1.8399 5.7759 0.6092
Se -0.2204 1.0836 6.0161
Se 2.2443 2.3461 2.7034
O -4.2832 4.7270 6.5062
O -1.8184 5.5622 3.1935
O -3.1988 0.2179 6.1099
O -0.7340 3.2118 2.7972
O -1.3647 3.9409 5.3758
O 1.1001 6.3483 2.0632
O 0.5194 0.5111 4.5621
O 2.9842 2.9186 1.2495
O 2.3535 3.6476 3.8281
O 4.8183 6.6415 0.5154
O 3.4380 1.2972 3.4318
O 5.9027 2.1325 0.1191
```